This entry pairs a crystal structure of Na3Ni2P2C2O14 with its computed powder diffraction line list. Radiation: Cu Kα, 1.54184 Å. Structure: a crystal structure in Alexandria, relaxed with PBE+U.

Structural model:
```
data_Na3Ni2P2C2O14
_symmetry_space_group_name_H-M 'P 1 21 1'
_symmetry_Int_Tables_number 4
_cell_length_a 9.0895
_cell_length_b 6.5376
_cell_length_c 10.3078
_cell_angle_alpha 90.00
_cell_angle_beta 91.60
_cell_angle_gamma 90.00
loop_
_symmetry_equiv_pos_as_xyz
'x,y,z'
'-x,y+1/2,-z'
loop_
_atom_site_label
_atom_site_type_symbol
_atom_site_fract_x
_atom_site_fract_y
_atom_site_fract_z
Na1 Na 0.2460 0.0000 0.1286
Na2 Na 0.2475 0.5216 0.1278
Na3 Na 0.2491 0.9637 0.6314
Ni1 Ni 0.3470 0.2640 0.8540
Ni2 Ni 0.3571 0.2587 0.3583
P1 P 0.4257 0.7611 0.8990
P2 P 0.4307 0.7575 0.3886
C1 C 0.0778 0.2575 0.8866
C2 C 0.0891 0.2572 0.3911
O1 O 0.0459 0.7666 0.5907
O2 O 0.0595 0.7590 0.1010
O3 O 0.1405 0.2530 0.7755
O4 O 0.1458 0.2606 0.2761
O5 O 0.1721 0.2611 0.9846
O6 O 0.1870 0.2440 0.4849
O7 O 0.3293 0.5720 0.8695
O8 O 0.3289 0.9472 0.8603
O9 O 0.3351 0.5706 0.3478
O10 O 0.3401 0.9459 0.3434
O11 O 0.4187 0.2440 0.6768
O12 O 0.4267 0.2606 0.1720
O13 O 0.4577 0.7662 0.5381
O14 O 0.4591 0.7667 0.0497
```

Largest 12 diffraction maxima, most intense first, 10° ≤ 2θ ≤ 90°:
index, two_theta, I/Imax
1 1 0, 16.7, 100
0 2 0, 27.3, 87
2 0 -2, 25.8, 68
1 2 -2, 33.8, 62
0 1 2, 22.0, 55
0 0 4, 34.8, 52
1 0 2, 20.0, 40
3 1 2, 37.5, 35
1 0 -2, 19.6, 33
1 1 2, 24.3, 33
1 3 0, 42.7, 32
1 2 2, 34.1, 30